[1]
Calculated powder diffraction line list of GdZnGa for Cu Kα X-rays, from DFT lattice parameters and positions (PBE).

Largest 6 diffraction maxima, in order of falling intensity, 2θ from 10° to 80°:
Position (°2θ), d [Å], I_rel
33.86, 2.647, 1000
40.55, 2.225, 529
53.82, 1.703, 265
69.50, 1.352, 242
66.32, 1.409, 240
23.08, 3.854, 171

Cell and atoms:
```
data_GdZnGa
_cell_length_a 4.4498
_cell_length_b 4.4498
_cell_length_c 7.2860
_cell_angle_alpha 90.00
_cell_angle_beta 90.00
_cell_angle_gamma 120.00
_space_group_name_H-M_alt 'P 63/m m c'
_space_group_IT_number 194
_space_group_name_Hall '-P 6c 2c'
loop_
_atom_site_label
_atom_site_type_symbol
_atom_site_fract_x
_atom_site_fract_y
_atom_site_fract_z
Gd1 Gd 0.0000 0.0000 0.0000
Zn1 Zn 0.3333 0.6667 0.2500
Ga1 Ga 0.3333 0.6667 0.7500
```


[2]
Calculated powder diffraction line list of NaLi2Sn for Cu Kα X-rays, from DFT lattice parameters and positions (PBE).

Largest 6 diffraction maxima, in order of falling intensity, 2θ from 10° to 80°:
Position (°2θ), d [Å], I_rel
15.64, 5.665, 1000
18.67, 4.753, 685
34.94, 2.568, 579
31.04, 2.881, 524
44.87, 2.020, 381
27.01, 3.301, 285

Cell and atoms:
```
data_NaLi2Sn
_cell_length_a 3.451
_cell_length_b 5.235
_cell_length_c 11.331
_cell_angle_alpha 90.00
_cell_angle_beta 90.00
_cell_angle_gamma 90.00
_space_group_name_H-M_alt 'I m m m'
_space_group_IT_number 71
_space_group_name_Hall '-I 2 2'
loop_
_atom_site_label
_atom_site_type_symbol
_atom_site_fract_x
_atom_site_fract_y
_atom_site_fract_z
Na1 Na 0.000 0.000 0.000
Li1 Li 0.000 0.000 0.258
Sn1 Sn 0.000 0.000 0.500
```


[3]
Calculated powder diffraction line list of LiCu2C4O10 for Cu Kα X-rays, from DFT lattice parameters and positions (PBE).

Largest 6 diffraction maxima, in order of falling intensity, 2θ from 10° to 80°:
Position (°2θ), d [Å], I_rel
25.46, 3.499, 1000
26.82, 3.325, 875
20.04, 4.430, 662
20.63, 4.306, 429
19.62, 4.526, 386
21.04, 4.222, 261

Cell and atoms:
```
data_LiCu2C4O10
_cell_length_a 10.021
_cell_length_b 9.809
_cell_length_c 9.958
_cell_angle_alpha 90.00
_cell_angle_beta 115.41
_cell_angle_gamma 90.00
_space_group_name_H-M_alt 'C 1 c 1'
_space_group_IT_number 9
loop_
_space_group_symop_operation_xyz
'x,y,z'
'x,-y,z+1/2'
'x+1/2,y+1/2,z'
'x+1/2,-y+1/2,z+1/2'
loop_
_atom_site_label
_atom_site_type_symbol
_atom_site_fract_x
_atom_site_fract_y
_atom_site_fract_z
Li1 Li 0.000 0.165 0.000
Cu1 Cu 0.205 0.305 0.876
Cu2 Cu 0.210 0.152 0.394
C1 C 0.126 0.335 0.580
C2 C 0.284 0.337 0.171
C3 C 0.424 0.012 0.513
C4 C 0.484 0.493 0.751
O1 O 0.034 0.025 0.884
O2 O 0.035 0.101 0.198
O3 O 0.041 0.437 0.610
O4 O 0.102 0.304 0.451
O5 O 0.182 0.290 0.051
O6 O 0.224 0.288 0.701
O7 O 0.314 0.302 0.300
O8 O 0.347 0.017 0.879
O9 O 0.365 0.439 0.139
O10 O 0.394 0.115 0.575
```


[4]
Calculated powder diffraction line list of TmAgTe2 for Cu Kα X-rays, from DFT lattice parameters and positions (PBE).

Largest 6 diffraction maxima, in order of falling intensity, 2θ from 10° to 80°:
Position (°2θ), d [Å], I_rel
42.87, 2.110, 1000
26.11, 3.412, 980
34.20, 2.622, 896
35.79, 2.509, 818
31.71, 2.822, 519
69.18, 1.358, 304

Cell and atoms:
```
data_TmAgTe2
_cell_length_a 7.096
_cell_length_b 7.096
_cell_length_c 4.654
_cell_angle_alpha 90.00
_cell_angle_beta 90.00
_cell_angle_gamma 90.00
_space_group_name_H-M_alt 'P -4 21 m'
_space_group_IT_number 113
loop_
_space_group_symop_operation_xyz
'x,y,z'
'y,-x,-z'
'-x,-y,z'
'-y,x,-z'
'x+1/2,-y+1/2,-z'
'y+1/2,x+1/2,z'
'-x+1/2,y+1/2,-z'
'-y+1/2,-x+1/2,z'
loop_
_atom_site_label
_atom_site_type_symbol
_atom_site_fract_x
_atom_site_fract_y
_atom_site_fract_z
Tm1 Tm 0.000 0.500 0.199
Ag1 Ag 0.000 0.000 0.000
Te1 Te 0.202 0.702 0.712
```